1.
For MgB2H8, the GGA-PBE geometry in the Materials Project gives the computed powder X-ray diffraction pattern in this record (Cu Kα (weighted mean of Kα1 and Kα2)).

Largest 10 diffraction maxima, by intensity, 2θ from 10° to 80°:
two_theta	Rel. int.
21.75	100
22.37	45
26.98	43
38.89	43
44.34	35
37.78	21
45.65	14
48.70	13
51.42	12
60.70	12

Crystal structure
```
data_MgB2H8
_chemical_formula_sum 'Mg2 B4 H16'
_space_group_name_H-M_alt 'P -4 n 2'
_space_group_IT_number 118
_cell_length_a 5.6210
_cell_length_b 5.6210
_cell_length_c 5.9485
_cell_angle_alpha 90.00
_cell_angle_beta 90.00
_cell_angle_gamma 90.00
loop_
_space_group_symop_operation_xyz
'x,y,z'
'y,-x,-z'
'-x,-y,z'
'-y,x,-z'
'-x+1/2,y+1/2,z+1/2'
'-y+1/2,-x+1/2,-z+1/2'
'x+1/2,-y+1/2,z+1/2'
'y+1/2,x+1/2,-z+1/2'
loop_
_atom_site_label
_atom_site_type_symbol
_atom_site_fract_x
_atom_site_fract_y
_atom_site_fract_z
Mg1 Mg 0.0000 0.0000 0.0000
B1 B 0.2501 0.2499 0.2500
H1 H 0.0398 0.7821 0.7111
H2 H 0.1385 0.3267 0.0898
```

---

2.
For MgB3H20N3, the GGA-PBE geometry in the Materials Project gives the computed powder X-ray diffraction pattern in this record (Cu Kα (weighted mean of Kα1 and Kα2)).

Largest 10 diffraction maxima, by intensity, 2θ from 10° to 80°:
two_theta	Rel. int.
20.65	100
26.29	85
18.60	64
13.13	35
26.43	32
44.21	27
33.75	23
33.84	15
37.62	12
43.39	11

Crystal structure
```
data_MgB3H20N3
_chemical_formula_sum 'Mg2 B6 H40 N6'
_space_group_name_H-M_alt 'P 1'
_space_group_IT_number 1
_cell_length_a 5.5828
_cell_length_b 9.5170
_cell_length_c 9.5610
_cell_angle_alpha 90.00
_cell_angle_beta 90.00
_cell_angle_gamma 89.99
loop_
_space_group_symop_operation_xyz
'x,y,z'
loop_
_atom_site_label
_atom_site_type_symbol
_atom_site_fract_x
_atom_site_fract_y
_atom_site_fract_z
Mg1 Mg 0.0000 0.0000 0.0000
Mg2 Mg 0.0026 0.5034 0.5153
B1 B 0.3185 0.9817 0.5078
B2 B 0.3346 0.4840 0.0077
B3 B 0.7507 0.1553 0.8572
B4 B 0.7797 0.8511 0.1386
B5 B 0.7848 0.3521 0.3769
B6 B 0.7974 0.6526 0.6599
H1 H 0.0008 0.3383 0.3546
H2 H 0.0158 0.6537 0.6788
H3 H 0.1486 0.1545 0.2182
H4 H 0.1609 0.6420 0.2869
H5 H 0.1987 0.0816 0.5467
H6 H 0.2097 0.2697 0.6154
H7 H 0.2199 0.5871 0.9720
H8 H 0.2248 0.7693 0.9044
H9 H 0.2351 0.8848 0.7770
H10 H 0.2378 0.3892 0.7381
H11 H 0.2600 0.7264 0.4248
H12 H 0.2611 0.2277 0.0779
H13 H 0.2789 0.8788 0.5805
H14 H 0.2840 0.9560 0.3847
H15 H 0.2891 0.3842 0.9319
H16 H 0.2987 0.4553 0.1298
H17 H 0.3871 0.0873 0.1457
H18 H 0.3963 0.5837 0.3691
H19 H 0.4214 0.3878 0.6048
H20 H 0.4230 0.8959 0.9077
H21 H 0.5482 0.1238 0.8212
H22 H 0.6350 0.0480 0.6286
H23 H 0.6458 0.1048 0.4657
H24 H 0.6570 0.5484 0.8897
H25 H 0.6664 0.5997 0.0546
H26 H 0.6694 0.2709 0.3066
H27 H 0.6758 0.7564 0.1974
H28 H 0.7022 0.7345 0.7388
H29 H 0.7051 0.9383 0.5012
H30 H 0.7133 0.9659 0.1825
H31 H 0.7183 0.4332 0.0130
H32 H 0.7233 0.5320 0.6800
H33 H 0.7272 0.4741 0.3490
H34 H 0.7391 0.8445 0.0111
H35 H 0.7482 0.3312 0.5027
H36 H 0.7544 0.1590 0.9867
H37 H 0.7548 0.6843 0.5373
H38 H 0.8124 0.2691 0.8126
H39 H 0.8920 0.0665 0.8104
H40 H 0.9976 0.8401 0.1567
N1 N 0.2242 0.1318 0.1233
N2 N 0.2304 0.6273 0.3849
N3 N 0.2447 0.3745 0.6314
N4 N 0.2477 0.8747 0.8840
N5 N 0.5958 0.0210 0.5268
N6 N 0.6138 0.5188 0.9902
```